(1)
This entry pairs a crystal structure of CaEr6Ta2O14 with its calculated XRD peak list. Radiation: Cu Kα, 1.54184 Å. Structure: a crystal structure in the Materials Project, relaxed with PBE.
Lines closer than 0.1° are merged.

Top 12 peaks for 10° ≤ 2θ ≤ 90°, low angle first:
2θ = 28.36°, d 3.147, intensity 100.0
2θ = 29.14°, d 3.064, intensity 94.9
2θ = 30.01°, d 2.978, intensity 21.6
2θ = 33.27°, d 2.693, intensity 58.3
2θ = 33.43°, d 2.680, intensity 20.0
2θ = 45.54°, d 1.992, intensity 12.9
2θ = 46.74°, d 1.944, intensity 19.5
2θ = 47.88°, d 1.900, intensity 42.1
2θ = 48.77°, d 1.867, intensity 14.2
2θ = 56.02°, d 1.641, intensity 25.7
2θ = 57.12°, d 1.612, intensity 12.8
2θ = 57.38°, d 1.606, intensity 23.6

Structural model:
Cell: 6.5330 6.5330 7.7747 Å, 90.04 90.04 110.27°
Element x y z (fractional)
Ca 0.0000 0.0000 0.0000
Er 0.1781 0.3028 0.7184
Er 0.1879 0.8121 0.5000
Er 0.2721 0.7279 0.0000
Er 0.2732 0.3163 0.2645
Er 0.6837 0.7268 0.7355
Er 0.6972 0.8219 0.2816
Ta 0.6863 0.3137 0.0000
Ta 0.7128 0.2872 0.5000
O 0.0242 0.9394 0.7138
O 0.0328 0.3732 0.4769
O 0.0602 0.3584 0.0119
O 0.0606 0.9758 0.2862
O 0.3207 0.6609 0.7268
O 0.3391 0.6793 0.2732
O 0.3623 0.1478 0.9830
O 0.3858 0.2352 0.5242
O 0.6268 0.9672 0.5231
O 0.6416 0.9398 0.9881
O 0.6513 0.2565 0.2502
O 0.7435 0.3487 0.7498
O 0.7648 0.6142 0.4758
O 0.8522 0.6377 0.0170

(2)
This entry pairs a crystal structure of CaEr4Zr4O14 with its calculated XRD peak list. Radiation: Cu Kα, 1.54184 Å. Structure: a crystal structure in the Materials Project, relaxed with PBE.
Lines closer than 0.1° are merged.

Top 12 peaks for 10° ≤ 2θ ≤ 90°, low angle first:
2θ = 23.64°, d 3.764, intensity 15.6
2θ = 27.36°, d 3.259, intensity 100.0
2θ = 30.11°, d 2.968, intensity 88.6
2θ = 31.71°, d 2.822, intensity 21.9
2θ = 34.12°, d 2.628, intensity 43.7
2θ = 35.07°, d 2.559, intensity 12.7
2θ = 45.44°, d 1.996, intensity 17.0
2θ = 47.27°, d 1.923, intensity 51.6
2θ = 52.44°, d 1.745, intensity 17.0
2θ = 53.51°, d 1.713, intensity 12.2
2θ = 55.48°, d 1.656, intensity 27.1
2θ = 60.16°, d 1.538, intensity 24.6

Structural model:
Cell: 3.4899 7.9848 11.2886 Å, 90.00 90.00 90.00°
Element x y z (fractional)
Ca 0.0000 0.0000 0.0000
Er 0.0000 0.0000 0.2746
Er 0.0000 0.5000 0.8176
Er 0.5000 0.2539 0.5328
Er 0.5000 0.7461 0.5328
Zr 0.0000 0.0000 0.7292
Zr 0.0000 0.5000 0.3025
Zr 0.5000 0.3211 0.0651
Zr 0.5000 0.6789 0.0651
O 0.0000 0.1969 0.4201
O 0.0000 0.2643 0.9544
O 0.0000 0.2702 0.1905
O 0.0000 0.2713 0.6776
O 0.0000 0.7287 0.6776
O 0.0000 0.7298 0.1905
O 0.0000 0.7357 0.9544
O 0.0000 0.8031 0.4201
O 0.5000 0.0000 0.1466
O 0.5000 0.0000 0.6085
O 0.5000 0.0000 0.8400
O 0.5000 0.5000 0.2105
O 0.5000 0.5000 0.4393
O 0.5000 0.5000 0.9158

(3)
This entry pairs a crystal structure of CaEr4Zr4O14 with its calculated XRD peak list. Radiation: Cu Kα, 1.54184 Å. Structure: a crystal structure in the Materials Project, relaxed with PBE.
Lines closer than 0.1° are merged.

Top 12 peaks for 10° ≤ 2θ ≤ 90°, low angle first:
2θ = 23.81°, d 3.737, intensity 17.6
2θ = 26.76°, d 3.332, intensity 100.0
2θ = 29.41°, d 3.037, intensity 45.6
2θ = 30.29°, d 2.950, intensity 41.3
2θ = 31.94°, d 2.802, intensity 16.9
2θ = 33.29°, d 2.691, intensity 37.4
2θ = 43.70°, d 2.071, intensity 24.5
2θ = 46.19°, d 1.965, intensity 22.5
2θ = 47.40°, d 1.918, intensity 22.2
2θ = 51.64°, d 1.770, intensity 15.5
2θ = 53.55°, d 1.711, intensity 16.7
2θ = 54.09°, d 1.695, intensity 16.1

Structural model:
Cell: 7.0835 4.1430 11.2153 Å, 90.00 91.84 90.00°
Element x y z (fractional)
Ca 0.0000 0.0000 0.0000
Er 0.0000 0.5000 0.0000
Er 0.2536 0.0000 0.7113
Er 0.5000 0.5000 0.0000
Er 0.7464 0.0000 0.2887
Zr 0.0000 0.5000 0.5000
Zr 0.2434 0.0000 0.2772
Zr 0.5000 0.5000 0.5000
Zr 0.7566 0.0000 0.7228
O 0.0062 0.0000 0.8166
O 0.0409 0.0000 0.4034
O 0.2489 0.5000 0.6169
O 0.2542 0.5000 0.1174
O 0.2541 0.5000 0.3701
O 0.4217 0.0000 0.8756
O 0.4877 0.0000 0.3929
O 0.5123 0.0000 0.6071
O 0.5783 0.0000 0.1244
O 0.7459 0.5000 0.6299
O 0.7458 0.5000 0.8826
O 0.7511 0.5000 0.3831
O 0.9591 0.0000 0.5966
O 0.9938 0.0000 0.1834

(4)
This entry pairs a crystal structure of CaEr4Zr4O14 with its calculated XRD peak list. Radiation: Cu Kα, 1.54184 Å. Structure: a crystal structure in the Materials Project, relaxed with PBE.
Lines closer than 0.1° are merged.

Top 12 peaks for 10° ≤ 2θ ≤ 90°, low angle first:
2θ = 13.95°, d 6.347, intensity 13.7
2θ = 28.12°, d 3.174, intensity 95.1
2θ = 29.89°, d 2.989, intensity 100.0
2θ = 32.77°, d 2.733, intensity 12.3
2θ = 34.05°, d 2.633, intensity 36.5
2θ = 46.60°, d 1.949, intensity 16.4
2θ = 47.92°, d 1.898, intensity 24.4
2θ = 48.04°, d 1.894, intensity 24.9
2θ = 51.17°, d 1.785, intensity 18.3
2θ = 56.36°, d 1.633, intensity 22.1
2θ = 59.34°, d 1.557, intensity 12.5
2θ = 59.46°, d 1.555, intensity 11.7

Structural model:
Cell: 3.5702 7.7957 10.9315 Å, 90.00 90.19 90.00°
Element x y z (fractional)
Ca 0.0000 0.0000 0.0000
Er 0.0104 0.2919 0.8707
Er 0.0104 0.7081 0.8707
Er 0.5037 0.0000 0.2058
Er 0.5068 0.5000 0.6358
Zr 0.0053 0.2725 0.4033
Zr 0.0053 0.7275 0.4033
Zr 0.5045 0.5000 0.1587
Zr 0.5084 0.0000 0.6624
O 0.0049 0.0000 0.3109
O 0.0046 0.5000 0.0329
O 0.0055 0.5000 0.2837
O 0.0060 0.5000 0.5165
O 0.0067 0.0000 0.5660
O 0.0069 0.0000 0.8069
O 0.5021 0.1882 0.0206
O 0.5021 0.8118 0.0206
O 0.5050 0.2707 0.2634
O 0.5050 0.7293 0.2634
O 0.5063 0.2415 0.4999
O 0.5063 0.7585 0.4999
O 0.5083 0.2579 0.7488
O 0.5083 0.7421 0.7488

(5)
This entry pairs a crystal structure of CaEr4Zr4O14 with its calculated XRD peak list. Radiation: Cu Kα, 1.54184 Å. Structure: a crystal structure in the Materials Project, relaxed with PBE.
Lines closer than 0.1° are merged.

Top 12 peaks for 10° ≤ 2θ ≤ 90°, low angle first:
2θ = 24.83°, d 3.586, intensity 14.2
2θ = 28.80°, d 3.100, intensity 93.8
2θ = 29.35°, d 3.043, intensity 100.0
2θ = 33.29°, d 2.691, intensity 21.8
2θ = 33.90°, d 2.644, intensity 45.5
2θ = 47.99°, d 1.896, intensity 15.2
2θ = 48.25°, d 1.886, intensity 68.4
2θ = 49.41°, d 1.844, intensity 22.3
2θ = 57.08°, d 1.614, intensity 10.6
2θ = 57.25°, d 1.609, intensity 18.7
2θ = 58.20°, d 1.585, intensity 25.7
2θ = 71.35°, d 1.322, intensity 10.2

Structural model:
Cell: 3.6891 7.5837 10.7658 Å, 90.00 90.11 90.00°
Element x y z (fractional)
Ca 0.0000 0.0000 0.0000
Er 0.0013 0.0000 0.2894
Er 0.0019 0.5000 0.7498
Er 0.5010 0.2959 0.9989
Er 0.5010 0.7041 0.9989
Zr 0.0015 0.5000 0.2672
Zr 0.0056 0.0000 0.7267
Zr 0.5020 0.2633 0.5068
Zr 0.5020 0.7367 0.5068
O 0.0005 0.2726 0.8814
O 0.0005 0.7274 0.8814
O 0.0015 0.2172 0.1404
O 0.0015 0.7828 0.1404
O 0.0018 0.2707 0.3896
O 0.0018 0.7293 0.3896
O 0.0027 0.2367 0.6247
O 0.0027 0.7633 0.6247
O 0.4991 0.0000 0.8785
O 0.5014 0.5000 0.1478
O 0.5018 0.0000 0.3942
O 0.5020 0.5000 0.3859
O 0.5019 0.5000 0.6251
O 0.5030 0.0000 0.6298

(6)
This entry pairs a crystal structure of CaEuGa2 with its calculated XRD peak list. Radiation: Cu Kα, 1.54184 Å. Structure: a crystal structure in the Materials Project, relaxed with PBE.
Lines closer than 0.1° are merged.

Top 12 peaks for 10° ≤ 2θ ≤ 90°, low angle first:
2θ = 20.68°, d 4.294, intensity 23.0
2θ = 23.93°, d 3.719, intensity 2.4
2θ = 34.09°, d 2.630, intensity 100.0
2θ = 40.21°, d 2.243, intensity 13.4
2θ = 48.98°, d 1.860, intensity 17.6
2θ = 53.71°, d 1.706, intensity 5.9
2θ = 61.03°, d 1.518, intensity 35.7
2θ = 65.17°, d 1.431, intensity 4.5
2θ = 71.79°, d 1.315, intensity 10.9
2θ = 75.64°, d 1.257, intensity 4.5
2θ = 81.91°, d 1.176, intensity 15.2
2θ = 85.63°, d 1.134, intensity 1.7

Structural model:
Cell: 5.2596 5.2596 5.2596 Å, 60.00 60.00 60.00°
Element x y z (fractional)
Ca 0.0000 0.0000 0.0000
Eu 0.5000 0.5000 0.5000
Ga 0.2500 0.2500 0.2500
Ga 0.7500 0.7500 0.7500

(7)
This entry pairs a crystal structure of CaEuZrGaO6 with its calculated XRD peak list. Radiation: Cu Kα, 1.54184 Å. Structure: a crystal structure in the Materials Project, relaxed with PBE.
Lines closer than 0.1° are merged.

Top 12 peaks for 10° ≤ 2θ ≤ 90°, low angle first:
2θ = 19.10°, d 4.647, intensity 24.6
2θ = 31.43°, d 2.846, intensity 100.0
2θ = 37.04°, d 2.427, intensity 15.2
2θ = 38.75°, d 2.324, intensity 5.5
2θ = 45.05°, d 2.012, intensity 34.7
2θ = 49.35°, d 1.847, intensity 7.0
2θ = 55.96°, d 1.643, intensity 38.8
2θ = 59.69°, d 1.549, intensity 5.2
2θ = 65.61°, d 1.423, intensity 20.5
2θ = 69.03°, d 1.361, intensity 5.1
2θ = 74.56°, d 1.273, intensity 16.7
2θ = 83.14°, d 1.162, intensity 6.7

Structural model:
Cell: 5.6918 5.6918 5.6918 Å, 60.00 60.00 60.00°
Element x y z (fractional)
Ca 0.0000 0.0000 0.0000
Eu 0.5000 0.5000 0.5000
Zr 0.7500 0.7500 0.7500
Ga 0.2500 0.2500 0.2500
O 0.0072 0.0072 0.4928
O 0.0072 0.4928 0.0072
O 0.0072 0.4928 0.4928
O 0.4928 0.0072 0.0072
O 0.4928 0.0072 0.4928
O 0.4928 0.4928 0.0072

(8)
This entry pairs a crystal structure of CaEuHfNbO6 with its calculated XRD peak list. Radiation: Cu Kα, 1.54184 Å. Structure: a crystal structure in the Materials Project, relaxed with PBE.
Lines closer than 0.1° are merged.

Top 12 peaks for 10° ≤ 2θ ≤ 90°, low angle first:
2θ = 18.78°, d 4.724, intensity 20.7
2θ = 21.72°, d 4.091, intensity 8.3
2θ = 30.91°, d 2.893, intensity 100.0
2θ = 36.42°, d 2.467, intensity 13.0
2θ = 44.28°, d 2.046, intensity 30.9
2θ = 48.49°, d 1.877, intensity 6.0
2θ = 54.97°, d 1.670, intensity 39.9
2θ = 58.62°, d 1.575, intensity 4.5
2θ = 64.41°, d 1.447, intensity 18.9
2θ = 73.15°, d 1.294, intensity 17.2
2θ = 81.49°, d 1.181, intensity 6.3
2θ = 89.66°, d 1.093, intensity 21.4

Structural model:
Cell: 5.7861 5.7861 5.7861 Å, 60.00 60.00 60.00°
Element x y z (fractional)
Ca 0.0000 0.0000 0.0000
Eu 0.5000 0.5000 0.5000
Hf 0.7500 0.7500 0.7500
Nb 0.2500 0.2500 0.2500
O 0.0015 0.0015 0.4985
O 0.0015 0.4985 0.0015
O 0.0015 0.4985 0.4985
O 0.4985 0.0015 0.0015
O 0.4985 0.0015 0.4985
O 0.4985 0.4985 0.0015

What did the fourth record say?
This entry pairs a crystal structure of CaEr4Zr4O14 with its calculated XRD peak list. Radiation: Cu Kα, 1.54184 Å. Structure: a crystal structure in the Materials Project, relaxed with PBE.
Lines closer than 0.1° are merged.

Top 12 peaks for 10° ≤ 2θ ≤ 90°, low angle first:
2θ = 13.95°, d 6.347, intensity 13.7
2θ = 28.12°, d 3.174, intensity 95.1
2θ = 29.89°, d 2.989, intensity 100.0
2θ = 32.77°, d 2.733, intensity 12.3
2θ = 34.05°, d 2.633, intensity 36.5
2θ = 46.60°, d 1.949, intensity 16.4
2θ = 47.92°, d 1.898, intensity 24.4
2θ = 48.04°, d 1.894, intensity 24.9
2θ = 51.17°, d 1.785, intensity 18.3
2θ = 56.36°, d 1.633, intensity 22.1
2θ = 59.34°, d 1.557, intensity 12.5
2θ = 59.46°, d 1.555, intensity 11.7

Structural model:
Cell: 3.5702 7.7957 10.9315 Å, 90.00 90.19 90.00°
Element x y z (fractional)
Ca 0.0000 0.0000 0.0000
Er 0.0104 0.2919 0.8707
Er 0.0104 0.7081 0.8707
Er 0.5037 0.0000 0.2058
Er 0.5068 0.5000 0.6358
Zr 0.0053 0.2725 0.4033
Zr 0.0053 0.7275 0.4033
Zr 0.5045 0.5000 0.1587
Zr 0.5084 0.0000 0.6624
O 0.0049 0.0000 0.3109
O 0.0046 0.5000 0.0329
O 0.0055 0.5000 0.2837
O 0.0060 0.5000 0.5165
O 0.0067 0.0000 0.5660
O 0.0069 0.0000 0.8069
O 0.5021 0.1882 0.0206
O 0.5021 0.8118 0.0206
O 0.5050 0.2707 0.2634
O 0.5050 0.7293 0.2634
O 0.5063 0.2415 0.4999
O 0.5063 0.7585 0.4999
O 0.5083 0.2579 0.7488
O 0.5083 0.7421 0.7488